1.
This entry pairs a crystal structure of Li5CeCd7 with its theoretical X-ray powder pattern. Radiation: λ = 1.5418 Å (Cu Kα). Structure: a structure optimized by DFT (PBE).
Neutral-atom scattering factors, no anomalous dispersion.

Main lines, by angle (2θ = 10–80°):
d [Å]	I (rel.)
5.011	47
2.820	73
2.630	41
2.457	100
2.206	24
1.438	36

Structural model:
a = 5.2604 Å, b = 10.0201 Å, c = 10.0220 Å
α = 90.00°, β = 90.00°, γ = 90.00°
Space group Imm2 (No. 44)
Symmetry-distinct sites (fractional):
Li 0.0000 0.0000 0.0000 x2
Li 0.2481 0.2500 0.5252 x8
Ce 0.0000 0.5000 0.2721 x2
Cd 0.0000 0.0000 0.5600 x2
Cd 0.0000 0.1503 0.2706 x4
Cd 0.0000 0.2051 0.7814 x4
Cd 0.0000 0.5000 0.6174 x2
Cd 0.0000 0.5000 0.9225 x2



2.
This entry pairs a crystal structure of Li6ZnIn2 with its theoretical X-ray powder pattern. Radiation: λ = 1.5418 Å (Cu Kα). Structure: a structure optimized by DFT (PBE).
Neutral-atom scattering factors, no anomalous dispersion.

Main lines, by angle (2θ = 10–80°):
d [Å]	I (rel.)
4.011	100
2.312	86
2.005	15
1.791	18
1.636	18
1.336	23

Structural model:
a = 8.0213 Å, b = 8.0213 Å, c = 8.4801 Å
α = 90.00°, β = 90.00°, γ = 120.00°
Space group R-3m (No. 166, hexagonal axes)
Symmetry-distinct sites (fractional):
Li 0.0000 0.3329 0.0000 x18
Zn 0.0000 0.0000 0.5000 x3
In 0.0000 0.0000 0.1756 x6